# 1
Li2CdIr: calculated powder diffractogram (Cu Kα, 1.54184 Å), based on a DFT-relaxed cell (PBE, Alexandria).

Top 8 peaks for 2θ from 15° to 90°, by angle:
Position (°2θ), I/Imax
19.85, 100
35.41, 24
35.70, 23
38.50, 21
40.32, 19
40.92, 36
41.18, 35
43.68, 26

Atomic structure:
Cell lengths 2.7667, 4.4735, 5.0896 Å; angles 90.00, 94.97, 90.00 degrees
Space group P2/m (No. 10)
Unique sites:
Li 0.2423 0.0000 0.2155
Cd 0.0000 0.5000 0.5000
Ir 0.5000 0.5000 0.0000


# 2
LiCdIr2: calculated powder diffractogram (Cu Kα, 1.54184 Å), based on a DFT-relaxed cell (PBE, Alexandria).

Top 8 peaks for 2θ from 15° to 90°, by angle:
Position (°2θ), I/Imax
20.36, 88
26.97, 44
39.59, 53
39.82, 74
41.20, 100
41.40, 55
42.01, 46
42.66, 36

Atomic structure:
Cell lengths 2.7551, 4.3617, 5.2321 Å; angles 90.00, 104.40, 90.00 degrees
Space group P2/m (No. 10)
Unique sites:
Li 0.0000 0.0000 0.0000
Cd 0.5000 0.0000 0.5000
Ir 0.1538 0.5000 0.7793


# 3
Mg6CdIr5: calculated powder diffractogram (Cu Kα, 1.54184 Å), based on a DFT-relaxed cell (PBE, Alexandria).

Top 8 peaks for 2θ from 15° to 90°, by angle:
Position (°2θ), I/Imax
27.62, 38
28.52, 69
40.12, 100
40.71, 24
40.84, 24
50.02, 15
72.46, 17
73.78, 16

Atomic structure:
Cell lengths 4.4188, 6.4591, 7.0007 Å; angles 90.00, 108.22, 90.00 degrees
Space group P2/m (No. 10)
Unique sites:
Mg 0.0000 0.2339 0.0000
Mg 0.3256 0.2414 0.6521
Cd 0.5000 0.5000 0.0000
Ir 0.1622 0.5000 0.3226
Ir 0.1633 0.0000 0.3260
Ir 0.5000 0.0000 0.0000


# 4
CdTeMo2Ir: calculated powder diffractogram (Cu Kα, 1.54184 Å), based on a DFT-relaxed cell (PBE, Alexandria).

Top 8 peaks for 2θ from 15° to 90°, by angle:
Position (°2θ), I/Imax
30.14, 85
30.30, 50
31.65, 93
36.09, 83
39.10, 53
41.38, 96
43.72, 100
44.90, 65

Atomic structure:
Cell lengths 9.7063, 3.0142, 8.8766 Å; angles 90.00, 122.82, 90.00 degrees
Space group Cm (No. 8)
Unique sites:
Cd 0.0000 0.0000 0.0000
Te 0.4403 0.5000 0.3193
Mo 0.2358 0.0000 0.6550
Mo 0.4169 0.5000 0.6166
Ir 0.1560 0.5000 0.8559


# 5
NaCd2IrO5: calculated powder diffractogram (Cu Kα, 1.54184 Å), based on a DFT-relaxed cell (PBE, Alexandria).

Top 8 peaks for 2θ from 15° to 90°, by angle:
Position (°2θ), I/Imax
17.09, 69
30.75, 26
31.15, 21
32.67, 100
42.30, 15
44.34, 28
46.27, 19
55.91, 22

Atomic structure:
Cell lengths 3.6951, 5.8147, 11.4860 Å; angles 90.00, 90.00, 90.00 degrees
Space group Immm (No. 71)
Unique sites:
Na 0.0000 0.0000 0.0000
Cd 0.0000 0.5000 0.2271
Ir 0.0000 0.0000 0.5000
O 0.0000 0.2279 0.3667
O 0.0000 0.5000 0.0000


# 6
Na2Sr6CdIr: calculated powder diffractogram (Cu Kα, 1.54184 Å), based on a DFT-relaxed cell (PBE, Alexandria).

Top 8 peaks for 2θ from 15° to 90°, by angle:
Position (°2θ), I/Imax
24.94, 19
28.88, 100
32.36, 46
32.41, 23
41.30, 49
43.86, 17
43.98, 20
67.78, 21

Atomic structure:
Cell lengths 12.3634, 12.3616, 8.7251 Å; angles 90.00, 134.82, 90.00 degrees
Space group Cm (No. 8)
Unique sites:
Na 0.0000 0.2500 0.0000
Sr 0.2349 0.0000 0.4993
Sr 0.2346 0.0000 0.9720
Sr 0.2634 0.5000 0.5008
Sr 0.2641 0.5000 0.0282
Sr 0.4994 0.2640 0.5002
Cd 0.4990 0.0000 0.5001
Ir 0.4991 0.5000 0.5001


# 7
NpCdIrRu: calculated powder diffractogram (Cu Kα, 1.54184 Å), based on a DFT-relaxed cell (PBE, Alexandria).

Top 8 peaks for 2θ from 15° to 90°, by angle:
Position (°2θ), I/Imax
23.27, 12
38.45, 100
45.43, 7
55.51, 17
60.99, 3
69.55, 35
82.39, 11
87.07, 2

Atomic structure:
Cell lengths 6.6215, 6.6215, 6.6215 Å; angles 90.00, 90.00, 90.00 degrees
Space group F-43m (No. 216)
Unique sites:
Np 0.0000 0.0000 0.0000
Cd 0.0000 0.0000 0.5000
Ir 0.2500 0.2500 0.2500
Ru 0.2500 0.2500 0.7500


# 8
CdIr2O8: calculated powder diffractogram (Cu Kα, 1.54184 Å), based on a DFT-relaxed cell (PBE, Alexandria).

Top 8 peaks for 2θ from 15° to 90°, by angle:
Position (°2θ), I/Imax
15.37, 64
28.35, 100
31.03, 37
31.65, 39
34.05, 39
37.67, 33
47.84, 25
51.26, 23

Atomic structure:
Cell lengths 5.7854, 3.7585, 6.2074 Å; angles 90.00, 94.88, 90.00 degrees
Space group P2/m (No. 10)
Unique sites:
Cd 0.0000 0.0000 0.0000
Ir 0.4939 0.5000 0.7467
O 0.0680 0.0000 0.4274
O 0.2589 0.5000 0.9870
O 0.2891 0.5000 0.4773
O 0.4938 0.0000 0.7648


# 9
CdIrPb2O6: calculated powder diffractogram (Cu Kα, 1.54184 Å), based on a DFT-relaxed cell (PBE, Alexandria).

Top 8 peaks for 2θ from 15° to 90°, by angle:
Position (°2θ), I/Imax
29.78, 48
30.58, 100
30.82, 99
31.39, 48
43.81, 41
44.12, 23
55.22, 22
55.66, 21

Atomic structure:
Cell lengths 5.7007, 5.9997, 9.9469 Å; angles 90.00, 124.37, 90.00 degrees
Space group P2_1/c (No. 14)
Unique sites:
Cd 0.0000 0.0000 0.0000
Ir 0.5000 0.0000 0.5000
Pb 0.2283 0.0426 0.7375
O 0.1722 0.1727 0.4634
O 0.2519 0.7336 0.4275
O 0.3800 0.0636 0.2745


# 10
Cd2IrRuO6: calculated powder diffractogram (Cu Kα, 1.54184 Å), based on a DFT-relaxed cell (PBE, Alexandria).

Top 8 peaks for 2θ from 15° to 90°, by angle:
Position (°2θ), I/Imax
23.57, 17
30.62, 66
32.13, 100
43.85, 39
53.38, 18
55.39, 43
58.21, 14
71.48, 14

Atomic structure:
Cell lengths 5.8396, 5.8396, 3.7745 Å; angles 90.00, 90.00, 90.00 degrees
Space group P4mm (No. 99)
Unique sites:
Cd 0.0000 0.5000 0.0000
Ir 0.0000 0.0000 0.6295
Ru 0.5000 0.5000 0.6151
O 0.0000 0.0000 0.1349
O 0.2479 0.2479 0.7094
O 0.5000 0.5000 0.1254


# 11
CdSnIrO6: calculated powder diffractogram (Cu Kα, 1.54184 Å), based on a DFT-relaxed cell (PBE, Alexandria).

Top 8 peaks for 2θ from 15° to 90°, by angle:
Position (°2θ), I/Imax
18.70, 23
26.81, 100
33.31, 55
38.47, 22
43.26, 27
51.34, 49
55.67, 26
59.52, 18

Atomic structure:
Cell lengths 5.3798, 5.3798, 9.4924 Å; angles 90.00, 90.00, 120.00 degrees
Space group P-31c (No. 163)
Unique sites:
Cd 0.0000 0.0000 0.0000
Sn 0.3333 0.6667 0.2500
Ir 0.3333 0.6667 0.7500
O 0.0202 0.3749 0.6363